(1)
BaLiGaSb2: simulated powder diffractogram (Cu Kα X-rays), based on a cell relaxed with PBE.
Intensities are scaled so that the largest is 100.

```
data_BaLiGaSb2
_cell_length_a 7.8341
_cell_length_b 7.8341
_cell_length_c 7.8341
_cell_angle_alpha 146.82
_cell_angle_beta 146.82
_cell_angle_gamma 47.62
_space_group_name_H-M_alt 'P 1'
_space_group_IT_number 1
loop_
_space_group_symop_operation_xyz
'x,y,z'
loop_
_atom_site_label
_atom_site_type_symbol
_atom_site_fract_x
_atom_site_fract_y
_atom_site_fract_z
_atom_site_occupancy
Ba1 Ba 0.0000 0.0000 0.0000 1
Li1 Li 0.2500 0.7500 0.5000 1
Ga1 Ga 0.7500 0.2500 0.5000 1
Sb1 Sb 0.3689 0.3689 0.0000 1
Sb2 Sb 0.6311 0.6311 0.0000 1
```

Most intense lines, 15° ≤ 2θ ≤ 90°, sorted by position:
d [Å]	Rel. int.
3.265	100
3.163	37
2.894	25
2.414	31
2.237	33
1.906	14
1.845	39
1.641	19

=====

(2)
MnNbCo6: simulated powder diffractogram (Cu Kα X-rays), based on a cell relaxed with PBE.
Intensities are scaled so that the largest is 100.

```
data_MnNbCo6
_cell_length_a 6.2254
_cell_length_b 6.2254
_cell_length_c 10.1594
_cell_angle_alpha 90.00
_cell_angle_beta 90.00
_cell_angle_gamma 109.56
_space_group_name_H-M_alt 'P 1'
_space_group_IT_number 1
loop_
_space_group_symop_operation_xyz
'x,y,z'
loop_
_atom_site_label
_atom_site_type_symbol
_atom_site_fract_x
_atom_site_fract_y
_atom_site_fract_z
_atom_site_occupancy
Mn1 Mn 0.0000 0.0000 0.2472 1
Mn2 Mn 0.0000 0.0000 0.7528 1
Mn3 Mn 0.2557 0.7443 0.0000 1
Mn4 Mn 0.7443 0.2557 0.0000 1
Nb1 Nb 0.2550 0.7450 0.5000 1
Nb2 Nb 0.5000 0.5000 0.2505 1
Nb3 Nb 0.5000 0.5000 0.7495 1
Nb4 Nb 0.7450 0.2550 0.5000 1
Co1 Co 0.0000 0.0000 0.0000 1
Co2 Co 0.0000 0.0000 0.5000 1
Co3 Co 0.1163 0.3715 0.1212 1
Co4 Co 0.1163 0.3715 0.8788 1
Co5 Co 0.1194 0.3650 0.3711 1
Co6 Co 0.1194 0.3650 0.6289 1
Co7 Co 0.2456 0.7544 0.2420 1
Co8 Co 0.2456 0.7544 0.7580 1
Co9 Co 0.3650 0.1194 0.3711 1
Co10 Co 0.3650 0.1194 0.6289 1
Co11 Co 0.3715 0.1163 0.1212 1
Co12 Co 0.3715 0.1163 0.8788 1
Co13 Co 0.5000 0.5000 0.0000 1
Co14 Co 0.5000 0.5000 0.5000 1
Co15 Co 0.6285 0.8837 0.1212 1
Co16 Co 0.6285 0.8837 0.8788 1
Co17 Co 0.6350 0.8806 0.3711 1
Co18 Co 0.6350 0.8806 0.6289 1
Co19 Co 0.7544 0.2456 0.2420 1
Co20 Co 0.7544 0.2456 0.7580 1
Co21 Co 0.8806 0.6350 0.3711 1
Co22 Co 0.8806 0.6350 0.6289 1
Co23 Co 0.8837 0.6285 0.1212 1
Co24 Co 0.8837 0.6285 0.8788 1
```

Most intense lines, 15° ≤ 2θ ≤ 90°, sorted by position:
d [Å]	Rel. int.
3.593	1
2.818	1
2.625	1
2.330	1
2.074	100
1.796	46
1.271	4
1.270	22

=====

(3)
BaSr2Hg10: simulated powder diffractogram (Cu Kα X-rays), based on a cell relaxed with PBE.
Intensities are scaled so that the largest is 100.

```
data_BaSr2Hg10
_cell_length_a 9.6459
_cell_length_b 15.5337
_cell_length_c 6.1215
_cell_angle_alpha 90.00
_cell_angle_beta 90.00
_cell_angle_gamma 90.00
_space_group_name_H-M_alt 'P 1'
_space_group_IT_number 1
loop_
_space_group_symop_operation_xyz
'x,y,z'
loop_
_atom_site_label
_atom_site_type_symbol
_atom_site_fract_x
_atom_site_fract_y
_atom_site_fract_z
_atom_site_occupancy
Ba1 Ba 0.0000 0.0000 0.0000 1
Ba2 Ba 0.5000 0.5000 0.0000 1
Sr1 Sr 0.0083 0.3446 0.5000 1
Sr2 Sr 0.4917 0.8446 0.5000 1
Sr3 Sr 0.5083 0.1554 0.5000 1
Sr4 Sr 0.9917 0.6554 0.5000 1
Hg1 Hg 0.0625 0.7654 0.0000 1
Hg2 Hg 0.1237 0.5573 0.0000 1
Hg3 Hg 0.1839 0.1727 0.2658 1
Hg4 Hg 0.1839 0.1727 0.7342 1
Hg5 Hg 0.1877 0.3712 0.0000 1
Hg6 Hg 0.3123 0.8712 0.0000 1
Hg7 Hg 0.3161 0.6727 0.2658 1
Hg8 Hg 0.3161 0.6727 0.7342 1
Hg9 Hg 0.3763 0.0573 0.0000 1
Hg10 Hg 0.4375 0.2654 0.0000 1
Hg11 Hg 0.5625 0.7346 0.0000 1
Hg12 Hg 0.6237 0.9427 0.0000 1
Hg13 Hg 0.6839 0.3273 0.2658 1
Hg14 Hg 0.6839 0.3273 0.7342 1
Hg15 Hg 0.6877 0.1288 0.0000 1
Hg16 Hg 0.8123 0.6288 0.0000 1
Hg17 Hg 0.8161 0.8273 0.2658 1
Hg18 Hg 0.8161 0.8273 0.7342 1
Hg19 Hg 0.8763 0.4427 0.0000 1
Hg20 Hg 0.9375 0.2346 0.0000 1
```

Most intense lines, 15° ≤ 2θ ≤ 90°, sorted by position:
d [Å]	Rel. int.
2.800	65
2.731	100
2.712	58
2.612	75
2.402	47
2.383	74
2.333	68
2.195	43

=====

(4)
HoTmGa4: simulated powder diffractogram (Cu Kα X-rays), based on a cell relaxed with PBE.
Intensities are scaled so that the largest is 100.

```
data_HoTmGa4
_cell_length_a 5.7616
_cell_length_b 5.7616
_cell_length_c 5.7616
_cell_angle_alpha 136.88
_cell_angle_beta 106.19
_cell_angle_gamma 89.50
_space_group_name_H-M_alt 'P 1'
_space_group_IT_number 1
loop_
_space_group_symop_operation_xyz
'x,y,z'
loop_
_atom_site_label
_atom_site_type_symbol
_atom_site_fract_x
_atom_site_fract_y
_atom_site_fract_z
_atom_site_occupancy
Ho1 Ho 0.0000 0.0000 0.0000 1
Tm1 Tm 0.6207 0.1207 0.5000 1
Ga1 Ga 0.0197 0.7202 0.2995 1
Ga2 Ga 0.2003 0.3987 0.8016 1
Ga3 Ga 0.4206 0.7202 0.7005 1
Ga4 Ga 0.5971 0.3987 0.1984 1
```

Most intense lines, 15° ≤ 2θ ≤ 90°, sorted by position:
d [Å]	Rel. int.
2.708	61
2.642	35
2.546	100
2.538	22
2.293	37
2.220	19
2.117	30
1.439	24

=====

(5)
Tb5Br8: simulated powder diffractogram (Cu Kα X-rays), based on a cell relaxed with PBE.
Intensities are scaled so that the largest is 100.

```
data_Tb5Br8
_cell_length_a 10.4006
_cell_length_b 10.4006
_cell_length_c 14.0739
_cell_angle_alpha 130.77
_cell_angle_beta 130.77
_cell_angle_gamma 21.73
_space_group_name_H-M_alt 'P 1'
_space_group_IT_number 1
loop_
_space_group_symop_operation_xyz
'x,y,z'
loop_
_atom_site_label
_atom_site_type_symbol
_atom_site_fract_x
_atom_site_fract_y
_atom_site_fract_z
_atom_site_occupancy
Tb1 Tb 0.0000 0.0000 0.0000 1
Tb2 Tb 0.1456 0.1456 0.6542 1
Tb3 Tb 0.4892 0.4892 0.6233 1
Tb4 Tb 0.5108 0.5108 0.3767 1
Tb5 Tb 0.8544 0.8544 0.3458 1
Br1 Br 0.0246 0.0246 0.2249 1
Br2 Br 0.3000 0.3000 0.4350 1
Br3 Br 0.3238 0.3238 0.1661 1
Br4 Br 0.3656 0.3656 0.8896 1
Br5 Br 0.6344 0.6344 0.1104 1
Br6 Br 0.6762 0.6762 0.8339 1
Br7 Br 0.7000 0.7000 0.5650 1
Br8 Br 0.9754 0.9754 0.7751 1
```

Most intense lines, 15° ≤ 2θ ≤ 90°, sorted by position:
d [Å]	Rel. int.
3.007	100
2.695	45
2.672	47
2.592	23
2.570	44
2.543	37
2.011	34
1.961	34

=====

(6)
La2PmPrTh: simulated powder diffractogram (Cu Kα X-rays), based on a cell relaxed with PBE.
Intensities are scaled so that the largest is 100.

```
data_La2PmPrTh
_cell_length_a 6.4813
_cell_length_b 8.5050
_cell_length_c 6.7102
_cell_angle_alpha 90.00
_cell_angle_beta 102.39
_cell_angle_gamma 90.00
_space_group_name_H-M_alt 'P 1'
_space_group_IT_number 1
loop_
_space_group_symop_operation_xyz
'x,y,z'
loop_
_atom_site_label
_atom_site_type_symbol
_atom_site_fract_x
_atom_site_fract_y
_atom_site_fract_z
_atom_site_occupancy
La1 La 0.2156 0.1745 0.1671 1
La2 La 0.2156 0.8255 0.6671 1
La3 La 0.7844 0.1745 0.3329 1
La4 La 0.7844 0.8255 0.8329 1
Pm1 Pm 0.5000 0.1581 0.7500 1
Pm2 Pm 0.5000 0.8419 0.2500 1
Pr1 Pr 0.0000 0.3997 0.7500 1
Pr2 Pr 0.0000 0.6003 0.2500 1
Th1 Th 0.5000 0.5000 0.0000 1
Th2 Th 0.5000 0.5000 0.5000 1
```

Most intense lines, 15° ≤ 2θ ≤ 90°, sorted by position:
d [Å]	Rel. int.
2.999	85
2.965	100
2.933	63
2.835	50
2.685	28
2.597	31
2.559	61
2.519	35

=====

(7)
RbBaHgAs: simulated powder diffractogram (Cu Kα X-rays), based on a cell relaxed with PBE.
Intensities are scaled so that the largest is 100.

```
data_RbBaHgAs
_cell_length_a 5.8214
_cell_length_b 5.8214
_cell_length_c 5.8214
_cell_angle_alpha 60.00
_cell_angle_beta 60.00
_cell_angle_gamma 60.00
_space_group_name_H-M_alt 'P 1'
_space_group_IT_number 1
loop_
_space_group_symop_operation_xyz
'x,y,z'
loop_
_atom_site_label
_atom_site_type_symbol
_atom_site_fract_x
_atom_site_fract_y
_atom_site_fract_z
_atom_site_occupancy
Rb1 Rb 0.0000 0.0000 0.0000 1
Ba1 Ba 0.5000 0.5000 0.5000 1
Hg1 Hg 0.7500 0.7500 0.7500 1
As1 As 0.2500 0.2500 0.2500 1
```

Most intense lines, 15° ≤ 2θ ≤ 90°, sorted by position:
d [Å]	Rel. int.
4.753	15
2.911	100
2.482	9
2.058	19
1.680	39
1.455	12
1.302	17
1.100	21

=====

(8)
Hf6Ga3Co: simulated powder diffractogram (Cu Kα X-rays), based on a cell relaxed with PBE.
Intensities are scaled so that the largest is 100.

```
data_Hf6Ga3Co
_cell_length_a 5.4560
_cell_length_b 7.6681
_cell_length_c 10.7297
_cell_angle_alpha 90.00
_cell_angle_beta 118.48
_cell_angle_gamma 90.00
_space_group_name_H-M_alt 'P 1'
_space_group_IT_number 1
loop_
_space_group_symop_operation_xyz
'x,y,z'
loop_
_atom_site_label
_atom_site_type_symbol
_atom_site_fract_x
_atom_site_fract_y
_atom_site_fract_z
_atom_site_occupancy
Hf1 Hf 0.0506 0.1655 0.4406 1
Hf2 Hf 0.0506 0.3345 0.9406 1
Hf3 Hf 0.3419 0.6872 0.4380 1
Hf4 Hf 0.3419 0.8128 0.9380 1
Hf5 Hf 0.4109 0.0446 0.2613 1
Hf6 Hf 0.4109 0.4554 0.7613 1
Hf7 Hf 0.5891 0.5446 0.2387 1
Hf8 Hf 0.5891 0.9554 0.7387 1
Hf9 Hf 0.6581 0.1872 0.0620 1
Hf10 Hf 0.6581 0.3128 0.5620 1
Hf11 Hf 0.9494 0.6655 0.0594 1
Hf12 Hf 0.9494 0.8345 0.5594 1
Ga1 Ga 0.0000 0.0000 0.0000 1
Ga2 Ga 0.0000 0.5000 0.5000 1
Ga3 Ga 0.1472 0.1166 0.7579 1
Ga4 Ga 0.1472 0.3834 0.2579 1
Ga5 Ga 0.8528 0.6166 0.7421 1
Ga6 Ga 0.8528 0.8834 0.2421 1
Co1 Co 0.5000 0.0000 0.5000 1
Co2 Co 0.5000 0.5000 0.0000 1
```

Most intense lines, 15° ≤ 2θ ≤ 90°, sorted by position:
d [Å]	Rel. int.
2.975	58
2.767	44
2.603	58
2.569	62
2.532	61
2.457	50
2.314	100
1.637	50